The following is a computed powder diffraction line list of Sm7AgIr4. It was derived from a crystal structure in Alexandria, relaxed with GGA-PBE, using Cu Ka.

```
data_Sm7AgIr4
_cell_length_a 7.490
_cell_length_b 7.490
_cell_length_c 10.033
_cell_angle_alpha 123.26
_cell_angle_beta 123.26
_cell_angle_gamma 42.36
_space_group_name_H-M_alt 'P 1'
_space_group_IT_number 1
loop_
_space_group_symop_operation_xyz
'x,y,z'
loop_
_atom_site_label
_atom_site_type_symbol
_atom_site_fract_x
_atom_site_fract_y
_atom_site_fract_z
Sm1 Sm 0.000 0.000 0.000
Sm2 Sm 0.170 0.170 0.617
Sm3 Sm 0.290 0.290 0.126
Sm4 Sm 0.421 0.421 0.644
Sm5 Sm 0.579 0.579 0.356
Sm6 Sm 0.710 0.710 0.874
Sm7 Sm 0.830 0.830 0.383
Ag1 Ag 0.500 0.500 0.000
Ir1 Ir 0.069 0.069 0.782
Ir2 Ir 0.206 0.206 0.339
Ir3 Ir 0.794 0.794 0.661
Ir4 Ir 0.931 0.931 0.218
```

Most intense lines, 2θ = 10–90°, low angle first:
- 2θ 29.36, I = 29
- 2θ 31.74, I = 24
- 2θ 33.11, I = 100
- 2θ 35.73, I = 94
- 2θ 37.26, I = 37
- 2θ 37.54, I = 78
- 2θ 38.30, I = 23
- 2θ 44.83, I = 19
- 2θ 50.68, I = 31
- 2θ 54.85, I = 23
- 2θ 60.85, I = 22
- 2θ 65.58, I = 21


The following is a computed powder diffraction line list of K4IO6. It was derived from a crystal structure in Alexandria, relaxed with GGA-PBE, using Cu Ka.

```
data_K4IO6
_cell_length_a 7.452
_cell_length_b 7.452
_cell_length_c 7.452
_cell_angle_alpha 88.61
_cell_angle_beta 88.61
_cell_angle_gamma 88.61
_space_group_name_H-M_alt 'P 1'
_space_group_IT_number 1
loop_
_space_group_symop_operation_xyz
'x,y,z'
loop_
_atom_site_label
_atom_site_type_symbol
_atom_site_fract_x
_atom_site_fract_y
_atom_site_fract_z
K1 K 0.105 0.750 0.395
K2 K 0.250 0.250 0.250
K3 K 0.250 0.605 0.895
K4 K 0.395 0.105 0.750
K5 K 0.605 0.895 0.250
K6 K 0.750 0.395 0.105
K7 K 0.750 0.750 0.750
K8 K 0.895 0.250 0.605
I1 I 0.000 0.000 0.000
I2 I 0.500 0.500 0.500
O1 O 0.056 0.936 0.758
O2 O 0.064 0.242 0.944
O3 O 0.242 0.944 0.064
O4 O 0.258 0.436 0.556
O5 O 0.436 0.556 0.258
O6 O 0.444 0.742 0.564
O7 O 0.556 0.258 0.436
O8 O 0.564 0.444 0.742
O9 O 0.742 0.564 0.444
O10 O 0.758 0.056 0.936
O11 O 0.936 0.758 0.056
O12 O 0.944 0.064 0.242
```

Most intense lines, 2θ = 10–90°, low angle first:
- 2θ 16.63, I = 96
- 2θ 17.04, I = 100
- 2θ 26.51, I = 26
- 2θ 28.78, I = 22
- 2θ 29.73, I = 86
- 2θ 33.63, I = 29
- 2θ 37.93, I = 49
- 2θ 38.50, I = 15
- 2θ 40.25, I = 35
- 2θ 45.49, I = 17
- 2θ 52.18, I = 26
- 2θ 61.74, I = 16


The following is a computed powder diffraction line list of Ba3P2Se4O4. It was derived from a crystal structure in Alexandria, relaxed with GGA-PBE, using Cu Ka.

```
data_Ba3P2Se4O4
_cell_length_a 6.910
_cell_length_b 7.273
_cell_length_c 12.963
_cell_angle_alpha 80.99
_cell_angle_beta 78.64
_cell_angle_gamma 80.30
_space_group_name_H-M_alt 'P 1'
_space_group_IT_number 1
loop_
_space_group_symop_operation_xyz
'x,y,z'
loop_
_atom_site_label
_atom_site_type_symbol
_atom_site_fract_x
_atom_site_fract_y
_atom_site_fract_z
Ba1 Ba 0.047 0.187 0.351
Ba2 Ba 0.300 0.741 0.112
Ba3 Ba 0.349 0.315 0.624
Ba4 Ba 0.651 0.685 0.376
Ba5 Ba 0.700 0.259 0.888
Ba6 Ba 0.953 0.813 0.649
P1 P 0.143 0.697 0.386
P2 P 0.393 0.798 0.808
P3 P 0.607 0.202 0.192
P4 P 0.857 0.303 0.614
Se1 Se 0.211 0.050 0.873
Se2 Se 0.239 0.546 0.855
Se3 Se 0.339 0.256 0.113
Se4 Se 0.458 0.844 0.632
Se5 Se 0.542 0.156 0.368
Se6 Se 0.661 0.744 0.887
Se7 Se 0.761 0.454 0.145
Se8 Se 0.789 0.950 0.127
O1 O 0.043 0.173 0.562
O2 O 0.072 0.563 0.323
O3 O 0.264 0.595 0.472
O4 O 0.280 0.825 0.304
O5 O 0.720 0.175 0.696
O6 O 0.736 0.405 0.528
O7 O 0.928 0.437 0.677
O8 O 0.957 0.827 0.438
```

Most intense lines, 2θ = 10–90°, low angle first:
- 2θ 25.05, I = 35
- 2θ 26.28, I = 34
- 2θ 27.04, I = 23
- 2θ 27.18, I = 25
- 2θ 27.48, I = 23
- 2θ 27.86, I = 33
- 2θ 28.32, I = 100
- 2θ 31.07, I = 21
- 2θ 31.14, I = 25
- 2θ 32.37, I = 33
- 2θ 32.84, I = 21
- 2θ 36.49, I = 21


The following is a computed powder diffraction line list of Pr3ZnGe3. It was derived from a crystal structure in Alexandria, relaxed with GGA-PBE, using Cu Ka.

```
data_Pr3ZnGe3
_cell_length_a 9.855
_cell_length_b 9.855
_cell_length_c 9.855
_cell_angle_alpha 155.72
_cell_angle_beta 153.93
_cell_angle_gamma 35.92
_space_group_name_H-M_alt 'P 1'
_space_group_IT_number 1
loop_
_space_group_symop_operation_xyz
'x,y,z'
loop_
_atom_site_label
_atom_site_type_symbol
_atom_site_fract_x
_atom_site_fract_y
_atom_site_fract_z
Pr1 Pr 0.000 0.000 0.000
Pr2 Pr 0.187 0.687 0.500
Pr3 Pr 0.367 0.367 0.000
Zn1 Zn 0.616 0.116 0.500
Ge1 Ge 0.541 0.541 0.000
Ge2 Ge 0.746 0.246 0.500
Ge3 Ge 0.833 0.833 0.000
```

Most intense lines, 2θ = 10–90°, low angle first:
- 2θ 25.79, I = 18
- 2θ 28.57, I = 19
- 2θ 31.00, I = 100
- 2θ 31.21, I = 49
- 2θ 35.26, I = 27
- 2θ 40.08, I = 27
- 2θ 40.60, I = 28
- 2θ 41.50, I = 19
- 2θ 43.67, I = 23
- 2θ 54.65, I = 20
- 2θ 58.37, I = 17
- 2θ 61.14, I = 17


The following is a computed powder diffraction line list of PmMg2AlZn2. It was derived from a crystal structure in Alexandria, relaxed with GGA-PBE, using Cu Ka.

```
data_PmMg2AlZn2
_cell_length_a 6.583
_cell_length_b 6.583
_cell_length_c 6.583
_cell_angle_alpha 134.57
_cell_angle_beta 134.57
_cell_angle_gamma 66.19
_space_group_name_H-M_alt 'P 1'
_space_group_IT_number 1
loop_
_space_group_symop_operation_xyz
'x,y,z'
loop_
_atom_site_label
_atom_site_type_symbol
_atom_site_fract_x
_atom_site_fract_y
_atom_site_fract_z
Pm1 Pm 0.000 0.000 0.000
Mg1 Mg 0.250 0.750 0.500
Mg2 Mg 0.750 0.250 0.500
Al1 Al 0.500 0.500 0.000
Zn1 Zn 0.282 0.282 0.000
Zn2 Zn 0.718 0.718 0.000
```

Most intense lines, 2θ = 10–90°, low angle first:
- 2θ 19.22, I = 42
- 2θ 24.77, I = 100
- 2θ 29.99, I = 70
- 2θ 32.47, I = 37
- 2θ 35.31, I = 77
- 2θ 41.26, I = 36
- 2θ 46.99, I = 40
- 2θ 48.72, I = 47
- 2θ 50.80, I = 27
- 2θ 57.31, I = 19
- 2θ 61.60, I = 38
- 2θ 73.06, I = 17